(1)
Ce2PaAs: calculated powder X-ray diffraction pattern (copper Kα), based on the PBE geometry in Alexandria.
Kinematic intensities with the Lorentz-polarization factor, no thermal factor.

Structure:
Cell: 3.846 3.846 6.592 Å, 90.00 90.00 90.00°
Space group P4/mmm (No. 123)
Unique sites:
Ce1 0.000 0.000 0.229 (multiplicity 2)
Pa1 0.500 0.500 0.500 (multiplicity 1)
As1 0.500 0.500 0.000 (multiplicity 1)

Largest 10 diffraction maxima, by angle, 2θ = 10–80°:
| d_spacing | 2θ (°) | Rel. int. | (hkl) |
| --- | --- | --- | --- |
| 6.592 | 13.43 | 9 | 0 0 1 |
| 3.322 | 26.84 | 22 | 1 0 1 |
| 2.719 | 32.94 | 65 | 1 1 0 |
| 2.503 | 35.88 | 100 | 1 0 2 |
| 1.923 | 47.27 | 24 | 2 0 0 |
| 1.525 | 60.74 | 44 | 2 1 2 |
| 1.409 | 66.32 | 15 | 1 1 4 |
| 1.360 | 69.08 | 8 | 2 2 0 |
| 1.251 | 76.06 | 10 | 2 0 4 |
| 1.216 | 78.68 | 11 | 3 1 0 |

=====

(2)
ThZnNi3: calculated powder X-ray diffraction pattern (copper Kα), based on the PBE geometry in Alexandria.
Kinematic intensities with the Lorentz-polarization factor, no thermal factor.

Structure:
Cell: 5.295 6.725 4.787 Å, 90.00 90.00 90.00°
Space group Pbam (No. 55)
Unique sites:
Th1 0.000 0.000 0.000 (multiplicity 2)
Zn1 0.000 0.500 0.500 (multiplicity 2)
Ni1 0.000 0.500 0.000 (multiplicity 2)
Ni2 0.110 0.170 0.500 (multiplicity 4)

Largest 10 diffraction maxima, by angle, 2θ = 10–80°:
| d_spacing | 2θ (°) | Rel. int. | (hkl) |
| --- | --- | --- | --- |
| 4.160 | 21.36 | 55 | 1 1 0 |
| 3.362 | 26.51 | 78 | 0 2 0 |
| 3.140 | 28.42 | 100 | 1 1 1 |
| 2.752 | 32.54 | 91 | 0 2 1 |
| 2.648 | 33.86 | 74 | 2 0 0 |
| 2.393 | 37.58 | 90 | 0 0 2 |
| 2.080 | 43.51 | 60 | 2 2 0 |
| 1.896 | 47.99 | 82 | 1 3 1 |
| 1.776 | 51.47 | 45 | 2 0 2 |
| 1.570 | 58.81 | 49 | 2 2 2 |